Computed X-ray diffraction stick pattern of Ca2GdTaO6 for copper Kα, from a cell relaxed with GGA-PBE.
Kinematic intensities with the Lorentz-polarization factor, no thermal factor.

Peak list (10 most intense, 10 to 90 degrees two-theta, most intense first)
- 2θ = 30.96°, I = 100
- 2θ = 21.76°, I = 86
- 2θ = 44.36°, I = 36
- 2θ = 49.93°, I = 29
- 2θ = 30.31°, I = 25
- 2θ = 55.92°, I = 24
- 2θ = 31.64°, I = 22
- 2θ = 54.26°, I = 20
- 2θ = 73.26°, I = 13
- 2θ = 54.64°, I = 12

Cell and atoms:
Lattice parameters (Å, degrees): 5.656 5.897 9.931 90.00 124.61 90.00
Fractional positions:
Ca1 0.240 0.052 0.255
Ca2 0.240 0.448 0.755
Ca3 0.760 0.552 0.245
Ca4 0.760 0.948 0.745
Gd1 0.500 0.000 0.000
Gd2 0.500 0.500 0.500
Ta1 0.000 0.000 0.500
Ta2 0.000 0.500 0.000
O1 0.106 0.216 0.931
O2 0.106 0.284 0.431
O3 0.234 0.681 0.945
O4 0.234 0.819 0.445
O5 0.347 0.053 0.731
O6 0.347 0.447 0.231
O7 0.653 0.553 0.769
O8 0.653 0.947 0.269
O9 0.766 0.181 0.555
O10 0.766 0.319 0.055
O11 0.894 0.716 0.569
O12 0.894 0.784 0.069

Computed X-ray diffraction stick pattern of Os2Pt for copper Kα, from a cell relaxed with GGA-PBE.
Kinematic intensities with the Lorentz-polarization factor, no thermal factor.

Peak list (10 most intense, 10 to 90 degrees two-theta, most intense first)
- 2θ = 42.79°, I = 100
- 2θ = 43.10°, I = 96
- 2θ = 40.56°, I = 77
- 2θ = 42.42°, I = 51
- 2θ = 43.06°, I = 49
- 2θ = 37.62°, I = 48
- 2θ = 67.60°, I = 34
- 2θ = 37.39°, I = 23
- 2θ = 56.80°, I = 22
- 2θ = 83.60°, I = 22

Cell and atoms:
Lattice parameters (Å, degrees): 10.187 2.755 6.497 90.00 104.06 90.00
Fractional positions:
Os1 0.029 0.000 0.318
Os2 0.191 0.500 0.631
Os3 0.309 0.000 0.369
Os4 0.471 0.500 0.682
Os5 0.529 0.500 0.318
Os6 0.691 0.000 0.631
Os7 0.809 0.500 0.369
Os8 0.971 0.000 0.682
Pt1 0.137 0.500 0.030
Pt2 0.363 0.000 0.970
Pt3 0.637 0.000 0.030
Pt4 0.863 0.500 0.970

Computed X-ray diffraction stick pattern of Cs7NbIn3As5 for copper Kα, from a cell relaxed with GGA-PBE.
Kinematic intensities with the Lorentz-polarization factor, no thermal factor.

Peak list (10 most intense, 10 to 90 degrees two-theta, most intense first)
- 2θ = 28.39°, I = 100
- 2θ = 30.48°, I = 70
- 2θ = 29.59°, I = 49
- 2θ = 24.17°, I = 48
- 2θ = 27.13°, I = 48
- 2θ = 10.40°, I = 48
- 2θ = 29.49°, I = 47
- 2θ = 31.58°, I = 45
- 2θ = 30.73°, I = 41
- 2θ = 27.93°, I = 40

Cell and atoms:
Lattice parameters (Å, degrees): 9.017 9.863 15.135 85.22 83.92 85.22
Fractional positions:
Cs1 0.153 0.138 0.352
Cs2 0.180 0.688 0.869
Cs3 0.239 0.511 0.470
Cs4 0.256 0.000 0.026
Cs5 0.274 0.753 0.253
Cs6 0.320 0.421 0.114
Cs7 0.336 0.842 0.602
Cs8 0.664 0.158 0.398
Cs9 0.680 0.579 0.886
Cs10 0.726 0.247 0.747
Cs11 0.744 0.000 0.974
Cs12 0.761 0.489 0.530
Cs13 0.820 0.312 0.131
Cs14 0.847 0.862 0.648
Nb1 0.353 0.108 0.773
Nb2 0.647 0.892 0.227
In1 0.056 0.314 0.866
In2 0.097 0.224 0.626
In3 0.358 0.450 0.704
In4 0.642 0.550 0.296
In5 0.903 0.776 0.374
In6 0.944 0.686 0.134
As1 0.033 0.494 0.702
As2 0.084 0.051 0.789
As3 0.370 0.301 0.874
As4 0.414 0.206 0.613
As5 0.485 0.095 0.191
As6 0.515 0.905 0.809
As7 0.586 0.794 0.387
As8 0.630 0.699 0.126
As9 0.916 0.949 0.211
As10 0.967 0.506 0.298

Computed X-ray diffraction stick pattern of MgBH2O4 for copper Kα, from a cell relaxed with GGA-PBE.
Kinematic intensities with the Lorentz-polarization factor, no thermal factor.

Peak list (10 most intense, 10 to 90 degrees two-theta, most intense first)
- 2θ = 43.57°, I = 100
- 2θ = 27.74°, I = 76
- 2θ = 43.70°, I = 76
- 2θ = 53.49°, I = 30
- 2θ = 51.66°, I = 26
- 2θ = 57.41°, I = 23
- 2θ = 32.87°, I = 23
- 2θ = 66.25°, I = 17
- 2θ = 82.79°, I = 17
- 2θ = 86.53°, I = 12

Cell and atoms:
Lattice parameters (Å, degrees): 3.987 5.413 5.450 90.00 90.00 90.00
Fractional positions:
Mg1 0.000 0.000 0.000
Mg2 0.500 0.500 0.500
B1 0.000 0.500 0.000
B2 0.500 0.000 0.500
H1 0.000 0.173 0.500
H2 0.000 0.827 0.500
H3 0.500 0.327 0.000
H4 0.500 0.673 0.000
O1 0.242 0.332 0.875
O2 0.242 0.668 0.125
O3 0.258 0.168 0.375
O4 0.258 0.832 0.625
O5 0.742 0.168 0.625
O6 0.742 0.832 0.375
O7 0.758 0.332 0.125
O8 0.758 0.668 0.875

Computed X-ray diffraction stick pattern of PrMg2Pd2 for copper Kα, from a cell relaxed with GGA-PBE.
Kinematic intensities with the Lorentz-polarization factor, no thermal factor.

Peak list (10 most intense, 10 to 90 degrees two-theta, most intense first)
- 2θ = 34.74°, I = 100
- 2θ = 38.04°, I = 93
- 2θ = 37.21°, I = 74
- 2θ = 40.21°, I = 51
- 2θ = 36.18°, I = 50
- 2θ = 18.77°, I = 49
- 2θ = 65.48°, I = 37
- 2θ = 28.59°, I = 35
- 2θ = 17.51°, I = 29
- 2θ = 25.48°, I = 23

Cell and atoms:
Lattice parameters (Å, degrees): 5.135 4.832 8.802 90.00 99.52 90.00
Fractional positions:
Pr1 0.181 0.250 0.279
Pr2 0.819 0.750 0.721
Mg1 0.284 0.250 0.656
Mg2 0.351 0.750 0.990
Mg3 0.649 0.250 0.010
Mg4 0.716 0.750 0.344
Pd1 0.117 0.250 0.925
Pd2 0.279 0.750 0.499
Pd3 0.721 0.250 0.501
Pd4 0.883 0.750 0.075

Computed X-ray diffraction stick pattern of Mn8Cd for copper Kα, from a cell relaxed with GGA-PBE.
Kinematic intensities with the Lorentz-polarization factor, no thermal factor.

Peak list (10 most intense, 10 to 90 degrees two-theta, most intense first)
- 2θ = 43.29°, I = 100
- 2θ = 50.41°, I = 45
- 2θ = 89.86°, I = 27
- 2θ = 74.07°, I = 24
- 2θ = 32.97°, I = 8
- 2θ = 27.25°, I = 7
- 2θ = 71.02°, I = 7
- 2θ = 36.05°, I = 6
- 2θ = 61.58°, I = 4
- 2θ = 37.00°, I = 3

Cell and atoms:
Lattice parameters (Å, degrees): 5.726 5.726 5.726 95.73 95.73 143.17
Fractional positions:
Mn1 0.000 0.348 0.348
Mn2 0.000 0.652 0.652
Mn3 0.313 0.313 0.626
Mn4 0.313 0.687 0.000
Mn5 0.348 0.000 0.348
Mn6 0.652 0.000 0.652
Mn7 0.687 0.313 0.000
Mn8 0.687 0.687 0.374
Cd1 0.000 0.000 0.000